Structure and calculated powder X-ray diffraction pattern of KZn2P2O8 (a DFT-relaxed cell (PBE, the Materials Project); Cu Kα (weighted mean of Kα1 and Kα2)).

Structural model:
a = 5.2515 Å, b = 9.0190 Å, c = 9.5979 Å
α = 97.33°, β = 101.57°, γ = 106.84°
Space group P-1 (No. 2)
Unique sites:
K1 0.0885 0.2936 0.3216 (multiplicity 2)
Zn1 0.1899 0.8912 0.1120 (multiplicity 2)
Zn2 0.2796 0.3851 0.7652 (multiplicity 2)
P1 0.3462 0.7503 0.3983 (multiplicity 2)
P2 0.4120 0.2452 0.0523 (multiplicity 2)
O1 0.0817 0.6029 0.3328 (multiplicity 2)
O2 0.2135 0.2385 0.9007 (multiplicity 2)
O3 0.2384 0.1136 0.1162 (multiplicity 2)
O4 0.3181 0.7780 0.9686 (multiplicity 2)
O5 0.3326 0.8024 0.5556 (multiplicity 2)
O6 0.3485 0.8827 0.3125 (multiplicity 2)
O7 0.4004 0.3052 0.5991 (multiplicity 2)
O8 0.4686 0.4035 0.1541 (multiplicity 2)

Top 10 peaks for 2θ = 10–90°, by angle:
2θ (°)	d [Å]	I (rel.)	hkl
15.56	5.696	87.9	0 1 1
19.06	4.656	66.4	-1 1 1
21.00	4.231	53.3	0 2 0
22.95	3.875	39.4	1 -2 0
23.11	3.849	43.1	1 1 -1
28.18	3.167	100.0	1 -1 2
29.86	2.992	49.5	-1 2 2
31.27	2.860	32.1	0 3 -1
32.22	2.779	51.9	1 2 0
34.25	2.618	45.8	-2 1 1